Structure and theoretical PXRD pattern of Cs2YClF6 (a crystal structure in Alexandria, relaxed with PBE; Cu Kα (weighted mean of Kα1 and Kα2)).

Atomic structure:
a b c (Å): 7.070 7.070 7.070
angles (deg): 125.62 125.62 80.52
Fractional positions:
Cs1 0.250 0.750 0.500
Cs2 0.750 0.250 0.500
Y1 0.000 0.000 0.000
Cl1 0.500 0.500 0.000
F1 0.201 0.201 0.000
F2 0.240 0.240 0.479
F3 0.240 0.760 0.000
F4 0.760 0.240 0.000
F5 0.760 0.760 0.521
F6 0.799 0.799 0.000

Main lines, in order of rising 2θ (10° ≤ 2θ ≤ 80°):
2theta, I/Imax
15.99, 12
25.55, 100
27.61, 39
32.30, 26
33.21, 23
39.44, 31
43.72, 19
47.59, 36
52.49, 23
54.86, 14
67.60, 10
69.66, 16